Theoretical powder diffraction line list
Compound: Ca2VN3
Radiation: Cu Kα (λ = 1.5418 Å)
Structure: the PBE geometry in the Materials Project
Neutral-atom scattering factors, no anomalous dispersion.

Largest 10 diffraction maxima, sorted by position, 15° ≤ 2θ ≤ 90°:
d [Å]	2theta	I_rel	hkl
5.012	17.70	38	1 0 0
3.960	22.45	67	1 1 1
3.696	24.08	39	1 0 2
3.231	27.61	47	0 2 2
2.767	32.35	76	1 1 3
2.735	32.74	36	0 0 4
2.716	32.98	81	1 2 2
2.593	34.59	37	0 3 1
2.506	35.83	100	2 0 0
1.980	45.83	37	2 2 2

Cell: 5.012 8.009 10.942 Å, 90.00 90.00 90.00°
Space group Amm2 (No. 38)
Asymmetric unit:
Ca (0.000, 0.000, 0.000) [2 per cell]
Ca (0.000, 0.210, 0.295) [4 per cell]
Ca (0.500, 0.000, 0.799) [2 per cell]
V (0.000, 0.000, 0.587) [2 per cell]
V (0.500, 0.000, 0.178) [2 per cell]
N (0.000, 0.000, 0.763) [2 per cell]
N (0.000, 0.187, 0.510) [4 per cell]
N (0.500, 0.000, 0.017) [2 per cell]
N (0.500, 0.194, 0.258) [4 per cell]

---

Theoretical powder diffraction line list
Compound: Re2SCl12
Radiation: Cu Kα (λ = 1.5418 Å)
Structure: the PBE geometry in the Materials Project
Neutral-atom scattering factors, no anomalous dispersion.

Largest 10 diffraction maxima, sorted by position, 15° ≤ 2θ ≤ 90°:
d [Å]	2theta	I_rel	hkl
5.701	15.54	100	0 2 0
4.833	18.36	10	0 2 1
3.690	24.12	8	1 1 2
2.919	30.63	7	0 3 2
2.718	32.95	7	0 4 1
2.251	40.05	7	1 3 3
2.198	41.06	7	3 3 1
2.117	42.72	7	0 2 4
1.900	47.87	12	0 6 0
1.581	58.36	8	1 7 -1

Cell: 8.728 11.399 9.153 Å, 90.00 95.00 90.00°
Space group P2_1/m (No. 11)
Asymmetric unit:
Re (0.139, 0.250, 0.392) [2 per cell]
Re (0.360, 0.250, 0.626) [2 per cell]
S (0.330, 0.750, 0.067) [2 per cell]
Cl (0.112, 0.750, 0.122) [2 per cell]
Cl (0.115, 0.105, 0.217) [4 per cell]
Cl (0.120, 0.750, 0.580) [2 per cell]
Cl (0.171, 0.097, 0.581) [4 per cell]
Cl (0.310, 0.250, 0.873) [2 per cell]
Cl (0.328, 0.612, 0.926) [4 per cell]
Cl (0.417, 0.250, 0.373) [2 per cell]
Cl (0.453, 0.605, 0.323) [4 per cell]

---

Theoretical powder diffraction line list
Compound: In3SnAu4
Radiation: Cu Kα (λ = 1.5418 Å)
Structure: the PBE geometry in the Materials Project
Neutral-atom scattering factors, no anomalous dispersion.

Largest 10 diffraction maxima, sorted by position, 15° ≤ 2θ ≤ 90°:
d [Å]	2theta	I_rel	hkl
3.555	25.05	19	1 0 1
2.763	32.40	100	1 1 1
2.678	33.46	34	0 0 4
2.287	39.41	27	0 1 4
2.232	40.41	82	1 1 3
2.196	41.10	32	0 2 0
1.884	48.30	20	2 0 0
1.698	54.00	18	0 2 4
1.430	65.24	16	2 2 0
1.275	74.42	14	1 3 3

Cell: 3.769 4.392 10.712 Å, 90.00 90.00 90.00°
Space group Pmm2 (No. 25)
Asymmetric unit:
In (0.000, 0.000, 0.000) [1 per cell]
In (0.000, 0.500, 0.283) [1 per cell]
In (0.500, 0.500, 0.786) [1 per cell]
Sn (0.500, 0.000, 0.499) [1 per cell]
Au (0.000, 0.000, 0.737) [1 per cell]
Au (0.000, 0.500, 0.549) [1 per cell]
Au (0.500, 0.000, 0.235) [1 per cell]
Au (0.500, 0.500, 0.050) [1 per cell]

---

Theoretical powder diffraction line list
Compound: UCoS3
Radiation: Cu Kα (λ = 1.5418 Å)
Structure: the PBE geometry in the Materials Project
Neutral-atom scattering factors, no anomalous dispersion.

Largest 10 diffraction maxima, sorted by position, 15° ≤ 2θ ≤ 90°:
d [Å]	2theta	I_rel	hkl
4.198	21.16	29	0 2 0
3.947	22.53	100	1 1 1
3.172	28.13	57	2 1 0
3.061	29.18	87	1 2 1
2.579	34.78	43	1 1 2
2.372	37.92	43	1 3 1
2.277	39.58	29	1 2 2
2.168	41.67	34	2 3 0
2.161	41.81	28	2 1 2
2.130	42.43	32	3 0 1

Cell: 6.853 8.396 5.902 Å, 90.00 90.00 90.00°
Space group Pnma (No. 62)
Asymmetric unit:
U (0.124, 0.250, 0.065) [4 per cell]
Co (0.000, 0.000, 0.500) [4 per cell]
S (0.036, 0.750, 0.357) [4 per cell]
S (0.184, 0.550, 0.839) [8 per cell]

---

Theoretical powder diffraction line list
Compound: TlFe2Se2
Radiation: Cu Kα (λ = 1.5418 Å)
Structure: the PBE geometry in the Materials Project
Neutral-atom scattering factors, no anomalous dispersion.

Largest 10 diffraction maxima, sorted by position, 15° ≤ 2θ ≤ 90°:
d [Å]	2theta	I_rel	hkl
3.600	24.73	13	1 0 1
3.002	29.76	100	1 0 3
2.618	34.25	17	1 1 0
2.479	36.24	40	1 1 2
2.367	38.02	25	1 0 5
1.851	49.22	24	2 0 0
1.832	49.77	35	1 1 6
1.576	58.58	30	2 1 3
1.334	70.61	12	2 0 8
1.309	72.17	15	2 2 0

Cell: 3.703 3.703 15.388 Å, 90.00 90.00 90.00°
Space group I4/mmm (No. 139)
Asymmetric unit:
Tl (0.000, 0.000, 0.000) [2 per cell]
Fe (0.000, 0.500, 0.250) [4 per cell]
Se (0.000, 0.000, 0.357) [4 per cell]

---

Theoretical powder diffraction line list
Compound: Sr3CaN2Cl2
Radiation: Cu Kα (λ = 1.5418 Å)
Structure: the PBE geometry in the Materials Project
Neutral-atom scattering factors, no anomalous dispersion.

Largest 10 diffraction maxima, sorted by position, 15° ≤ 2θ ≤ 90°:
d [Å]	2theta	I_rel	hkl
3.180	28.06	39	2 0 -2
2.818	31.75	100	2 0 2
2.616	34.28	31	4 0 -2
2.342	38.44	15	6 0 0
2.235	40.36	14	5 1 -1
2.067	43.79	20	5 1 1
1.926	47.19	37	0 2 0
1.590	58.00	16	2 2 2
1.487	62.44	20	6 2 0
1.458	63.83	15	9 1 -1

Cell: 14.223 3.851 6.673 Å, 90.00 98.97 90.00°
Space group Cm (No. 8)
Asymmetric unit:
Sr (0.000, 0.000, 0.000) [2 per cell]
Sr (0.003, 0.500, 0.499) [2 per cell]
Sr (0.195, 0.000, 0.733) [2 per cell]
Ca (0.184, 0.500, 0.225) [2 per cell]
N (0.098, 0.500, 0.872) [2 per cell]
N (0.100, 0.000, 0.360) [2 per cell]
Cl (0.341, 0.000, 0.121) [2 per cell]
Cl (0.345, 0.500, 0.607) [2 per cell]

---

Theoretical powder diffraction line list
Compound: Rb2NaGaCl6
Radiation: Cu Kα (λ = 1.5418 Å)
Structure: the PBE geometry in the Materials Project
Neutral-atom scattering factors, no anomalous dispersion.

Largest 10 diffraction maxima, sorted by position, 15° ≤ 2θ ≤ 90°:
d [Å]	2theta	I_rel	hkl
3.662	24.31	89	2 2 0
2.990	29.88	73	2 2 2
2.589	34.64	100	4 0 0
2.114	42.77	38	4 2 2
1.831	49.80	64	4 4 0
1.638	56.16	21	6 2 0
1.561	59.17	23	6 2 2
1.495	62.08	20	4 4 4
1.384	67.69	22	6 4 2
1.158	83.47	25	8 4 0

Cell: 10.358 10.358 10.358 Å, 90.00 90.00 90.00°
Space group Fm-3m (No. 225)
Asymmetric unit:
Rb (0.250, 0.250, 0.250) [8 per cell]
Na (0.000, 0.000, 0.000) [4 per cell]
Ga (0.000, 0.000, 0.500) [4 per cell]
Cl (0.000, 0.000, 0.268) [24 per cell]

---

Theoretical powder diffraction line list
Compound: CeSe2
Radiation: Cu Kα (λ = 1.5418 Å)
Structure: the PBE geometry in the Materials Project
Neutral-atom scattering factors, no anomalous dispersion.

Largest 10 diffraction maxima, sorted by position, 15° ≤ 2θ ≤ 90°:
d [Å]	2theta	I_rel	hkl
3.860	23.04	28	1 1 0
3.585	24.83	22	1 0 1
2.857	31.31	69	1 1 1
2.627	34.13	100	2 0 1
2.527	35.52	27	2 1 0
2.229	40.47	52	3 0 0
2.172	41.58	52	2 1 1
2.124	42.57	29	0 0 2
1.538	60.19	32	3 0 2
1.443	64.60	34	3 2 1

Cell: 7.7206 7.7206 4.2477 Å, 90.00 90.00 120.00°
Space group P-62m (No. 189)
Asymmetric unit:
Ce (0.0000, 0.0000, 0.0000) [1 per cell]
Ce (0.3333, 0.6667, 0.5000) [2 per cell]
Se (0.0000, 0.2592, 0.5000) [3 per cell]
Se (0.0000, 0.5956, 0.0000) [3 per cell]